Starting from a DFT-relaxed cell (GGA-PBE, Alexandria), the X-ray powder pattern of TmPa3Ge5 was computed for Cu Kα, 1.54184 Å.
No peak broadening, texture or thermal motion is included.

Top 10 peaks for 10° ≤ 2θ ≤ 80°, most intense first:
2theta, Rel. int., hkl
36.59, 100, 1 1 2
35.68, 93, 3 0 0
34.87, 59, 2 1 1
25.34, 58, 1 1 1
45.95, 36, 3 1 1
64.72, 33, 4 1 2
23.57, 26, 2 0 0
52.03, 23, 2 2 2
74.08, 23, 3 0 4
67.51, 22, 4 2 1

Cell and atoms:
abc: 8.7182 8.7182 5.9454
angles: 90.00 90.00 120.00
Space group P6_3/mcm (No. 193)
Unique sites:
Tm1 0.0000 0.0000 0.0000 x2
Pa1 0.0000 0.3838 0.2500 x6
Ge1 0.0000 0.2783 0.7500 x6
Ge2 0.3333 0.6667 0.0000 x4